Structure and computed powder XRD pattern of HfTl2W (DFT lattice parameters and positions (PBE); CuKα).
Lines closer than 0.1° are merged.

abc: 7.0031 7.0031 7.0031
angles: 90.00 90.00 90.00
Space group F-43m (No. 216)
Symmetry-distinct sites (fractional):
Hf 0.0000 0.0000 0.0000 [4 per cell]
Tl 0.0000 0.0000 0.5000 [4 per cell]
Tl 0.2500 0.2500 0.2500 [4 per cell]
W 0.2500 0.2500 0.7500 [4 per cell]

Most intense lines, 15 to 90 degrees two-theta, in order of falling intensity:
d_spacing	2theta	I (rel.)	h k l
2.476	36.28	100.0	2 2 0
1.429	65.27	36.9	4 2 2
1.751	52.25	17.9	4 0 0
1.107	88.25	17.1	6 2 0
1.238	77.03	11.6	4 4 0